ZnP2W2O10: calculated powder diffraction line list (Cu Kα), based on the GGA+U geometry in Alexandria.
Kinematic intensities with the Lorentz-polarization factor, no thermal factor.

Top 6 peaks for 15° ≤ 2θ ≤ 90°, in order of rising 2θ:
| 2θ/deg | I/Imax | (hkl) |
| --- | --- | --- |
| 20.97 | 35.9 | 1 3 1 |
| 25.05 | 42.5 | 3 1 1 |
| 29.16 | 77.0 | 3 3 1 |
| 29.73 | 58.4 | 1 5 1 |
| 30.04 | 100.0 | 2 2 2 |
| 42.70 | 37.8 | 2 6 2 |

Structural model:
```
data_ZnP2W2O10
_chemical_formula_sum 'Zn8 P16 W16 O80'
_cell_length_a 12.5355
_cell_length_b 17.0584
_cell_length_c 7.3622
_cell_angle_alpha 90.00
_cell_angle_beta 90.00
_cell_angle_gamma 90.00
_symmetry_space_group_name_H-M 'F d d 2'
_symmetry_Int_Tables_number 43
_symmetry_space_group_name_Hall 'F 2 -2d'
loop_
_atom_site_label
_atom_site_type_symbol
_atom_site_fract_x
_atom_site_fract_y
_atom_site_fract_z
Zn1 Zn 0.0000 0.0000 0.0000
P1 P 0.0015 0.2112 0.2740
W1 W 0.1116 0.3860 0.1438
O1 O 0.0079 0.0803 0.7989
O2 O 0.0093 0.3432 0.9387
O3 O 0.0257 0.1622 0.1044
O4 O 0.0982 0.2720 0.2963
O5 O 0.1002 0.2368 0.7524
```